For Er8Tl3PS3, DFT lattice parameters and positions (PBE) gives the calculated PXRD pattern in this record (Cu Ka).
Lines closer than 0.1° are merged.

Most intense lines, 10° ≤ 2θ ≤ 90°, in order of rising 2θ:
- 2θ = 27.26°, I 13
- 2θ = 31.22°, I 100
- 2θ = 33.38°, I 25
- 2θ = 35.12°, I 13
- 2θ = 41.60°, I 12
- 2θ = 41.66°, I 23
- 2θ = 47.64°, I 23
- 2θ = 47.70°, I 11
- 2θ = 58.11°, I 11
- 2θ = 59.25°, I 13
- 2θ = 60.56°, I 17
- 2θ = 78.33°, I 15

Structure:
Cell: 7.636 7.636 8.849 Å, 115.64 115.64 59.92°
Element x y z (fractional)
Er (0.235, 0.235, 0.706)
Er (0.235, 0.736, 0.706)
Er (0.264, 0.765, 0.294)
Er (0.265, 0.265, 0.296)
Er (0.735, 0.735, 0.704)
Er (0.736, 0.235, 0.706)
Er (0.765, 0.264, 0.294)
Er (0.765, 0.765, 0.294)
Tl (0.000, 0.000, 0.000)
Tl (0.000, 0.500, 0.000)
Tl (0.500, 0.000, 0.000)
P (0.000, 0.000, 0.500)
S (0.000, 0.500, 0.500)
S (0.500, 0.000, 0.500)
S (0.500, 0.500, 0.500)